1.
Sm5Nb2O12: theoretical PXRD pattern (Cu Kα, 1.54184 Å), based on a PBE-relaxed structure.
Intensities are scaled so that the largest is 100.

Largest 8 diffraction maxima, in order of falling intensity, 10° ≤ 2θ ≤ 90°:
d [Å], I_rel, hkl
3.196, 100, 1 1 -2
3.326, 96, 3 1 0
2.753, 71, 2 0 2
1.678, 33, 6 2 -2
2.022, 30, 2 2 2
1.645, 22, 1 1 4
1.893, 21, 2 0 -4
2.822, 21, 3 1 -2

Structure:
a = 12.6115 Å, b = 5.9562 Å, c = 7.5734 Å
α = 90.00°, β = 107.51°, γ = 90.00°
Space group C2/m (No. 12)
Symmetry-distinct sites (fractional):
Sm: 0.0000 0.0000 0.0000 (multiplicity 2)
Sm: 0.1916 0.5000 0.3269 (multiplicity 4)
Sm: 0.1967 0.5000 0.8623 (multiplicity 4)
Nb: 0.0000 0.2410 0.5000 (multiplicity 4)
O: 0.9997 0.0000 0.3083 (multiplicity 4)
O: 0.0008 0.5000 0.3076 (multiplicity 4)
O: 0.1546 0.2504 0.0755 (multiplicity 8)
O: 0.1637 0.2654 0.5825 (multiplicity 8)


2.
HfZrSnC: theoretical PXRD pattern (Cu Kα, 1.54184 Å), based on a PBE-relaxed structure.
Intensities are scaled so that the largest is 100.

Largest 8 diffraction maxima, in order of falling intensity, 10° ≤ 2θ ≤ 90°:
d [Å], I_rel, hkl
2.497, 100, 1 0 3
2.904, 22, 1 0 0
1.676, 21, 1 1 0
1.383, 20, 1 1 6
2.445, 20, 0 0 6
1.421, 17, 1 0 9
1.392, 16, 0 2 3
1.870, 15, 0 1 6

Structure:
a = 3.3528 Å, b = 3.3528 Å, c = 14.6694 Å
α = 90.00°, β = 90.00°, γ = 120.00°
Space group P-3m1 (No. 164)
Symmetry-distinct sites (fractional):
Hf: 0.3333 0.6667 0.4167 (multiplicity 2)
Zr: 0.3333 0.6667 0.0862 (multiplicity 2)
Sn: 0.3333 0.6667 0.7478 (multiplicity 2)
C: 0.0000 0.0000 0.0000 (multiplicity 1)
C: 0.0000 0.0000 0.5000 (multiplicity 1)


3.
Dy2ErLu4Te2Ir2: theoretical PXRD pattern (Cu Kα, 1.54184 Å), based on a PBE-relaxed structure.
Intensities are scaled so that the largest is 100.

Largest 8 diffraction maxima, in order of falling intensity, 10° ≤ 2θ ≤ 90°:
d [Å], I_rel, hkl
2.646, 100, 1 4 1
2.945, 54, 1 1 2
2.594, 51, 1 3 2
2.660, 45, 0 3 3
2.321, 30, 1 2 3
1.960, 27, 2 0 0
7.776, 26, 0 2 0
2.431, 23, 1 0 3

Structure:
a = 3.9201 Å, b = 15.5527 Å, c = 9.2949 Å
α = 90.00°, β = 90.00°, γ = 90.00°
Space group Imm2 (No. 44)
Symmetry-distinct sites (fractional):
Dy: 0.0000 0.1474 0.0000 (multiplicity 4)
Er: 0.0000 0.5000 0.2649 (multiplicity 2)
Lu: 0.0000 0.1845 0.6367 (multiplicity 4)
Lu: 0.0000 0.3671 0.8500 (multiplicity 4)
Te: 0.0000 0.0000 0.4998 (multiplicity 2)
Te: 0.0000 0.5000 0.6063 (multiplicity 2)
Ir: 0.0000 0.2602 0.3342 (multiplicity 4)


4.
AgAsH6Os: theoretical PXRD pattern (Cu Kα, 1.54184 Å), based on a PBE-relaxed structure.
Intensities are scaled so that the largest is 100.

Largest 8 diffraction maxima, in order of falling intensity, 10° ≤ 2θ ≤ 90°:
d [Å], I_rel, hkl
2.306, 100, 2 2 0
3.766, 42, 1 1 1
1.331, 34, 4 2 2
1.967, 22, 3 1 1
3.261, 20, 2 0 0
1.631, 17, 4 0 0
1.153, 11, 4 4 0
1.496, 9, 3 3 1

Structure:
a = 6.5230 Å, b = 6.5230 Å, c = 6.5230 Å
α = 90.00°, β = 90.00°, γ = 90.00°
Space group F-43m (No. 216)
Symmetry-distinct sites (fractional):
Ag: 0.0000 0.0000 0.0000 (multiplicity 4)
As: 0.2500 0.2500 0.7500 (multiplicity 4)
H: 0.0000 0.0000 0.2878 (multiplicity 24)
Os: 0.2500 0.2500 0.2500 (multiplicity 4)


5.
Ba2NdIrO6: theoretical PXRD pattern (Cu Kα, 1.54184 Å), based on a PBE-relaxed structure.
Intensities are scaled so that the largest is 100.

Largest 8 diffraction maxima, in order of falling intensity, 10° ≤ 2θ ≤ 90°:
d [Å], I_rel, hkl
3.031, 100, 1 1 0
2.999, 98, 1 0 4
2.132, 55, 0 2 4
1.744, 41, 2 1 4
1.750, 21, 3 0 0
1.725, 20, 0 1 8
1.353, 18, 1 3 4
1.344, 18, 3 -2 8

Structure:
a = 6.0625 Å, b = 6.0625 Å, c = 14.6147 Å
α = 90.00°, β = 90.00°, γ = 120.00°
Space group R-3 (No. 148, hexagonal axes)
Symmetry-distinct sites (fractional):
Ba: 0.0000 0.0000 0.2489 (multiplicity 6)
Nd: 0.0000 0.0000 0.5000 (multiplicity 3)
Ir: 0.0000 0.0000 0.0000 (multiplicity 3)
O: 0.0265 0.5470 0.7443 (multiplicity 18)


6.
TbTm3Ni8: theoretical PXRD pattern (Cu Kα, 1.54184 Å), based on a PBE-relaxed structure.
Intensities are scaled so that the largest is 100.

Largest 8 diffraction maxima, in order of falling intensity, 10° ≤ 2θ ≤ 90°:
d [Å], I_rel, hkl
2.141, 100, 1 0 10
2.510, 65, 1 1 0
1.366, 23, 2 1 10
1.449, 18, 3 0 0
2.050, 15, 0 2 4
4.099, 14, 0 1 2
1.256, 11, 0 2 16
1.254, 11, 2 2 0

Structure:
a = 5.0164 Å, b = 5.0164 Å, c = 24.6337 Å
α = 90.00°, β = 90.00°, γ = 120.00°
Space group R3m (No. 160, hexagonal axes)
Symmetry-distinct sites (fractional):
Tb: 0.0000 0.0000 0.0000 (multiplicity 3)
Tm: 0.0000 0.0000 0.3757 (multiplicity 3)
Tm: 0.0000 0.0000 0.5002 (multiplicity 3)
Tm: 0.0000 0.0000 0.8748 (multiplicity 3)
Ni: 0.0000 0.0000 0.1877 (multiplicity 3)
Ni: 0.0000 0.0000 0.6878 (multiplicity 3)
Ni: 0.9997 0.4999 0.9371 (multiplicity 9)
Ni: 0.0013 0.5007 0.4382 (multiplicity 9)


7.
LaPrSi4: theoretical PXRD pattern (Cu Kα, 1.54184 Å), based on a PBE-relaxed structure.
Intensities are scaled so that the largest is 100.

Largest 8 diffraction maxima, in order of falling intensity, 10° ≤ 2θ ≤ 90°:
d [Å], I_rel, hkl
2.785, 100, 1 1 2
3.147, 49, 1 0 3
2.328, 39, 1 0 5
4.109, 37, 1 0 1
2.151, 33, 2 0 0
1.580, 23, 2 1 5
1.335, 20, 3 1 2
1.776, 19, 2 1 3

Structure:
a = 4.3023 Å, b = 4.3023 Å, c = 13.8449 Å
α = 90.00°, β = 90.00°, γ = 90.00°
Space group I-4m2 (No. 119)
Symmetry-distinct sites (fractional):
La: 0.0000 0.0000 0.0000 (multiplicity 2)
Pr: 0.0000 0.5000 0.7500 (multiplicity 2)
Si: 0.0000 0.0000 0.4150 (multiplicity 4)
Si: 0.0000 0.5000 0.1652 (multiplicity 4)


8.
Cs2SrFeC6N6: theoretical PXRD pattern (Cu Kα, 1.54184 Å), based on a PBE-relaxed structure.
Intensities are scaled so that the largest is 100.

Largest 8 diffraction maxima, in order of falling intensity, 10° ≤ 2θ ≤ 90°:
d [Å], I_rel, hkl
3.845, 100, 1 1 1
2.708, 28, 2 2 -2
3.791, 25, 2 0 -2
2.230, 25, 0 2 4
3.869, 24, 0 2 0
2.199, 24, 3 1 -1
2.730, 18, 0 0 4
1.922, 16, 2 2 2

Structure:
a = 7.5829 Å, b = 7.7381 Å, c = 13.2794 Å
α = 90.00°, β = 124.69°, γ = 90.00°
Space group P2_1/c (No. 14)
Symmetry-distinct sites (fractional):
Cs: 0.2416 0.0418 0.2497 (multiplicity 4)
Sr: 0.0000 0.0000 0.5000 (multiplicity 2)
Fe: 0.5000 0.0000 0.0000 (multiplicity 2)
C: 0.2765 0.1354 0.9776 (multiplicity 4)
C: 0.3401 0.6987 0.4749 (multiplicity 4)
C: 0.3802 0.0097 0.8327 (multiplicity 4)
N: 0.1317 0.2186 0.9616 (multiplicity 4)
N: 0.2385 0.6748 0.9571 (multiplicity 4)
N: 0.3068 0.0185 0.7268 (multiplicity 4)


9.
Pr2Ga3Hg3: theoretical PXRD pattern (Cu Kα, 1.54184 Å), based on a PBE-relaxed structure.
Intensities are scaled so that the largest is 100.

Largest 8 diffraction maxima, in order of falling intensity, 10° ≤ 2θ ≤ 90°:
d [Å], I_rel, hkl
2.521, 100, 0 1 2
2.490, 92, 2 1 0
2.457, 80, 2 1 -2
2.429, 58, 0 2 0
2.849, 27, 2 0 -2
3.697, 23, 1 1 -1
2.899, 23, 2 0 0
2.949, 21, 0 0 2

Structure:
a = 6.5827 Å, b = 4.8590 Å, c = 6.6952 Å
α = 90.00°, β = 118.25°, γ = 90.00°
Space group Pm (No. 6)
Symmetry-distinct sites (fractional):
Pr: 0.0000 0.0000 0.0000 (multiplicity 1)
Pr: 0.3334 0.5000 0.6808 (multiplicity 1)
Ga: 0.5163 0.0000 0.0306 (multiplicity 1)
Ga: 0.8342 0.5000 0.6562 (multiplicity 1)
Ga: 0.9801 0.0000 0.5018 (multiplicity 1)
Hg: 0.3539 0.5000 0.1818 (multiplicity 1)
Hg: 0.5202 0.0000 0.5042 (multiplicity 1)
Hg: 0.8297 0.5000 0.1902 (multiplicity 1)


10.
Ba2PrOsS6: theoretical PXRD pattern (Cu Kα, 1.54184 Å), based on a PBE-relaxed structure.
Intensities are scaled so that the largest is 100.

Largest 8 diffraction maxima, in order of falling intensity, 10° ≤ 2θ ≤ 90°:
d [Å], I_rel, hkl
3.567, 100, 1 1 2
3.527, 95, 2 1 1
2.537, 81, 2 2 0
3.623, 50, 0 1 -1
3.646, 46, 1 0 -1
2.512, 36, 2 0 2
2.067, 23, 1 -2 1
1.784, 23, 2 2 4

Structure:
a = 7.0472 Å, b = 7.0636 Å, c = 7.1385 Å
α = 61.37°, β = 61.88°, γ = 60.78°
Space group P-1 (No. 2)
Symmetry-distinct sites (fractional):
Ba: 0.2468 0.2501 0.2594 (multiplicity 2)
Pr: 0.0000 0.0000 0.0000 (multiplicity 1)
Os: 0.5000 0.5000 0.5000 (multiplicity 1)
S: 0.2268 0.3102 0.6995 (multiplicity 2)
S: 0.2415 0.7821 0.6799 (multiplicity 2)
S: 0.3415 0.7204 0.1998 (multiplicity 2)


11.
Y5Si10Ir4: theoretical PXRD pattern (Cu Kα, 1.54184 Å), based on a PBE-relaxed structure.
Intensities are scaled so that the largest is 100.

Largest 8 diffraction maxima, in order of falling intensity, 10° ≤ 2θ ≤ 90°:
d [Å], I_rel, hkl
2.543, 100, 4 0 1
4.476, 63, 2 2 0
3.090, 60, 2 2 1
2.135, 34, 0 0 2
2.493, 30, 4 1 1
3.165, 29, 4 0 0
4.270, 28, 0 0 1
2.002, 27, 6 2 0

Structure:
a = 12.6611 Å, b = 12.6611 Å, c = 4.2703 Å
α = 90.00°, β = 90.00°, γ = 90.00°
Space group P4/mbm (No. 127)
Symmetry-distinct sites (fractional):
Y: 0.0000 0.0000 0.0000 (multiplicity 2)
Y: 0.1147 0.3853 0.5000 (multiplicity 4)
Y: 0.1755 0.6755 0.5000 (multiplicity 4)
Si: 0.0013 0.8427 0.5000 (multiplicity 8)
Si: 0.0665 0.5665 0.0000 (multiplicity 4)
Si: 0.1638 0.2008 0.0000 (multiplicity 8)
Ir: 0.0199 0.7552 0.0000 (multiplicity 8)


12.
Nb4Si6Ni3: theoretical PXRD pattern (Cu Kα, 1.54184 Å), based on a PBE-relaxed structure.
Intensities are scaled so that the largest is 100.

Largest 8 diffraction maxima, in order of falling intensity, 10° ≤ 2θ ≤ 90°:
d [Å], I_rel, hkl
2.132, 100, 1 1 6
2.475, 99, 1 1 0
2.170, 42, 1 0 10
2.018, 32, 0 1 11
4.193, 21, 0 0 6
1.237, 21, 2 2 0
1.353, 20, 0 3 6
1.362, 17, 2 1 10

Structure:
a = 4.9499 Å, b = 4.9499 Å, c = 25.1560 Å
α = 90.00°, β = 90.00°, γ = 120.00°
Space group R-3m (No. 166, hexagonal axes)
Symmetry-distinct sites (fractional):
Nb: 0.0000 0.0000 0.1526 (multiplicity 6)
Nb: 0.0000 0.0000 0.3351 (multiplicity 6)
Si: 0.0045 0.5023 0.9108 (multiplicity 18)
Ni: 0.0000 0.0000 0.0494 (multiplicity 6)
Ni: 0.0000 0.0000 0.5000 (multiplicity 3)


Repeat the seventh record exactly.
LaPrSi4: theoretical PXRD pattern (Cu Kα, 1.54184 Å), based on a PBE-relaxed structure.
Intensities are scaled so that the largest is 100.

Largest 8 diffraction maxima, in order of falling intensity, 10° ≤ 2θ ≤ 90°:
d [Å], I_rel, hkl
2.785, 100, 1 1 2
3.147, 49, 1 0 3
2.328, 39, 1 0 5
4.109, 37, 1 0 1
2.151, 33, 2 0 0
1.580, 23, 2 1 5
1.335, 20, 3 1 2
1.776, 19, 2 1 3

Structure:
a = 4.3023 Å, b = 4.3023 Å, c = 13.8449 Å
α = 90.00°, β = 90.00°, γ = 90.00°
Space group I-4m2 (No. 119)
Symmetry-distinct sites (fractional):
La: 0.0000 0.0000 0.0000 (multiplicity 2)
Pr: 0.0000 0.5000 0.7500 (multiplicity 2)
Si: 0.0000 0.0000 0.4150 (multiplicity 4)
Si: 0.0000 0.5000 0.1652 (multiplicity 4)